Structure and computed powder diffraction line list of TbDy6Er2Sc (a DFT-relaxed cell (GGA-PBE, Alexandria); a wavelength of 1.5418 Å).
Intensities are scaled so that the largest is 1000.

The 10 most intense peaks (15° ≤ 2θ ≤ 90°), by angle:
d 3.120, intensity 202, hkl 2 2 -2
d 3.074, intensity 429, hkl 1 3 2
d 2.891, intensity 592, hkl 3 1 -1
d 2.855, intensity 472, hkl 0 2 3
d 2.812, intensity 1000, hkl 2 2 2
d 2.788, intensity 338, hkl 2 4 -1
d 2.719, intensity 232, hkl 1 5 -1
d 2.590, intensity 372, hkl 1 3 -3
d 2.290, intensity 158, hkl 1 1 -4
d 1.538, intensity 160, hkl 5 5 -1

Structural model:
Unit cell a=9.020 b=14.801 c=9.358 alpha=90.00 beta=97.04 gamma=90.00
Space group C2/c (No. 15)
One atom of each set of equivalent atoms:
Tb1 0.000 0.024 0.250 [4 per cell]
Dy1 0.060 0.185 0.945 [8 per cell]
Dy2 0.100 0.392 0.116 [8 per cell]
Dy3 0.216 0.221 0.311 [8 per cell]
Er1 0.246 0.448 0.453 [8 per cell]
Sc1 0.000 0.414 0.750 [4 per cell]